This entry pairs a crystal structure of SnH24C6N2O2F6 with its computed powder diffraction line list. Radiation: a wavelength of 1.5418 Å. Structure: a crystal structure in the Materials Project, relaxed with PBE.
Kinematic intensities with the Lorentz-polarization factor, no thermal factor.

Largest 10 diffraction maxima, by angle, 10° ≤ 2θ ≤ 90°:
| d (Å) | Position (°2θ) | I_rel |
| --- | --- | --- |
| 7.174 | 12.3 | 72 |
| 6.754 | 13.1 | 75 |
| 6.468 | 13.7 | 26 |
| 6.389 | 13.9 | 100 |
| 4.278 | 20.8 | 64 |
| 4.096 | 21.7 | 41 |
| 3.720 | 23.9 | 31 |
| 3.518 | 25.3 | 28 |
| 3.414 | 26.1 | 33 |
| 3.230 | 27.6 | 31 |

Crystal structure
abc: 8.309 8.309 8.266
angles: 116.46 116.46 52.49
Positions (direct):
Sn (0.000, 0.000, 0.000)
H (0.017, 0.682, 0.518)
H (0.064, 0.729, 0.355)
H (0.067, 0.493, 0.300)
H (0.203, 0.446, 0.983)
H (0.213, 0.213, 0.956)
H (0.271, 0.936, 0.645)
H (0.299, 0.299, 0.701)
H (0.318, 0.983, 0.482)
H (0.356, 0.570, 0.776)
H (0.430, 0.644, 0.224)
H (0.446, 0.203, 0.983)
H (0.493, 0.067, 0.300)
H (0.507, 0.933, 0.700)
H (0.554, 0.797, 0.017)
H (0.570, 0.356, 0.776)
H (0.644, 0.430, 0.224)
H (0.682, 0.017, 0.518)
H (0.701, 0.701, 0.299)
H (0.729, 0.064, 0.355)
H (0.787, 0.787, 0.044)
H (0.797, 0.554, 0.017)
H (0.933, 0.507, 0.700)
H (0.936, 0.271, 0.645)
H (0.983, 0.318, 0.482)
C (0.004, 0.340, 0.630)
C (0.276, 0.276, 0.925)
C (0.340, 0.004, 0.630)
C (0.660, 0.996, 0.370)
C (0.724, 0.724, 0.075)
C (0.996, 0.660, 0.370)
N (0.234, 0.234, 0.719)
N (0.766, 0.766, 0.281)
O (0.419, 0.419, 0.716)
O (0.581, 0.581, 0.284)
F (0.149, 0.149, 0.198)
F (0.163, 0.777, 0.140)
F (0.223, 0.837, 0.860)
F (0.777, 0.163, 0.140)
F (0.837, 0.223, 0.860)
F (0.851, 0.851, 0.802)

This entry pairs a crystal structure of UCuBi2 with its computed powder diffraction line list. Radiation: a wavelength of 1.5418 Å. Structure: a crystal structure in the Materials Project, relaxed with PBE.
Kinematic intensities with the Lorentz-polarization factor, no thermal factor.

Largest 10 diffraction maxima, by angle, 10° ≤ 2θ ≤ 90°:
| d (Å) | Position (°2θ) | I_rel |
| --- | --- | --- |
| 3.086 | 28.9 | 18 |
| 3.052 | 29.3 | 25 |
| 2.650 | 33.8 | 100 |
| 2.286 | 39.4 | 43 |
| 1.837 | 49.6 | 18 |
| 1.626 | 56.6 | 11 |
| 1.616 | 57.0 | 15 |
| 1.607 | 57.4 | 13 |
| 1.380 | 67.9 | 28 |
| 1.139 | 85.2 | 9 |

Crystal structure
abc: 4.571 4.571 9.257
angles: 90.00 90.00 90.00
Positions (direct):
U (0.250, 0.250, 0.225)
U (0.750, 0.750, 0.775)
Cu (0.250, 0.750, 0.000)
Cu (0.750, 0.250, 0.000)
Bi (0.250, 0.250, 0.820)
Bi (0.250, 0.750, 0.500)
Bi (0.750, 0.250, 0.500)
Bi (0.750, 0.750, 0.180)

Q: Number 1 is which compound?
A: SnH24C6N2O2F6